Ac2HgP3Pt12: simulated PXRD pattern (λ = 1.5418 Å (Cu Kα)), based on a structure optimized by DFT (GGA-PBE).

Peak list (10 most intense, 2θ = 10–80°, in order of rising 2θ)
- 2θ = 25.7°, d 3.462, I 15
- 2θ = 26.9°, d 3.311, I 11
- 2θ = 31.3°, d 2.854, I 100
- 2θ = 34.2°, d 2.620, I 20
- 2θ = 34.6°, d 2.593, I 19
- 2θ = 43.4°, d 2.086, I 64
- 2θ = 46.4°, d 1.957, I 42
- 2θ = 54.5°, d 1.684, I 17
- 2θ = 65.4°, d 1.427, I 19
- 2θ = 72.1°, d 1.310, I 13

Structural model:
a b c (Å): 7.858 7.858 7.858
angles (deg): 64.12 64.12 64.12
Atoms (fractional coordinates):
Ac1 0.110 0.110 0.110
Ac2 0.890 0.890 0.890
Hg1 0.500 0.500 0.500
P1 0.000 0.500 0.500
P2 0.500 0.000 0.500
P3 0.500 0.500 0.000
Pt1 0.111 0.628 0.628
Pt2 0.163 0.163 0.599
Pt3 0.163 0.599 0.163
Pt4 0.372 0.372 0.889
Pt5 0.372 0.889 0.372
Pt6 0.401 0.837 0.837
Pt7 0.599 0.163 0.163
Pt8 0.628 0.111 0.628
Pt9 0.628 0.628 0.111
Pt10 0.837 0.401 0.837
Pt11 0.837 0.837 0.401
Pt12 0.889 0.372 0.372



Rb5AsH: simulated PXRD pattern (λ = 1.5418 Å (Cu Kα)), based on a structure optimized by DFT (GGA-PBE).

Peak list (10 most intense, 2θ = 10–80°, in order of rising 2θ)
- 2θ = 13.2°, d 6.704, I 52
- 2θ = 22.3°, d 3.989, I 56
- 2θ = 22.4°, d 3.964, I 100
- 2θ = 24.8°, d 3.587, I 73
- 2θ = 25.3°, d 3.522, I 42
- 2θ = 26.6°, d 3.352, I 93
- 2θ = 28.6°, d 3.122, I 44
- 2θ = 31.2°, d 2.862, I 60
- 2θ = 41.6°, d 2.170, I 49
- 2θ = 41.7°, d 2.164, I 38

Structural model:
a b c (Å): 8.799 8.799 11.443
angles (deg): 109.28 109.28 67.73
Atoms (fractional coordinates):
Rb1 0.081 0.919 0.750
Rb2 0.212 0.291 0.631
Rb3 0.291 0.212 0.131
Rb4 0.293 0.674 0.034
Rb5 0.326 0.707 0.466
Rb6 0.674 0.293 0.534
Rb7 0.707 0.326 0.966
Rb8 0.709 0.788 0.869
Rb9 0.788 0.709 0.369
Rb10 0.919 0.081 0.250
As1 0.427 0.573 0.750
As2 0.573 0.427 0.250
H1 0.000 0.000 0.000
H2 0.000 0.000 0.500



Pm7Sn2Bi2: simulated PXRD pattern (λ = 1.5418 Å (Cu Kα)), based on a structure optimized by DFT (GGA-PBE).

Peak list (10 most intense, 2θ = 10–80°, in order of rising 2θ)
- 2θ = 20.0°, d 4.433, I 24
- 2θ = 22.3°, d 3.988, I 59
- 2θ = 28.3°, d 3.151, I 33
- 2θ = 31.1°, d 2.875, I 59
- 2θ = 35.3°, d 2.539, I 100
- 2θ = 36.1°, d 2.491, I 28
- 2θ = 36.9°, d 2.433, I 25
- 2θ = 38.6°, d 2.333, I 45
- 2θ = 49.1°, d 1.857, I 21
- 2θ = 58.1°, d 1.587, I 21

Structural model:
a b c (Å): 7.533 7.533 6.959
angles (deg): 90.00 90.00 99.53
Atoms (fractional coordinates):
Pm1 0.000 0.000 0.000
Pm2 0.000 0.500 0.270
Pm3 0.000 0.500 0.730
Pm4 0.500 0.000 0.270
Pm5 0.500 0.000 0.730
Pm6 0.500 0.500 0.258
Pm7 0.500 0.500 0.742
Sn1 0.274 0.726 0.000
Sn2 0.726 0.274 0.000
Bi1 0.194 0.194 0.500
Bi2 0.806 0.806 0.500



CeNb6S8: simulated PXRD pattern (λ = 1.5418 Å (Cu Kα)), based on a structure optimized by DFT (GGA-PBE).

Peak list (10 most intense, 2θ = 10–80°, in order of rising 2θ)
- 2θ = 13.3°, d 6.659, I 76
- 2θ = 22.2°, d 3.998, I 47
- 2θ = 23.4°, d 3.797, I 52
- 2θ = 30.5°, d 2.934, I 96
- 2θ = 33.2°, d 2.702, I 91
- 2θ = 39.2°, d 2.298, I 61
- 2θ = 41.4°, d 2.183, I 83
- 2θ = 42.4°, d 2.130, I 75
- 2θ = 43.5°, d 2.082, I 43
- 2θ = 45.3°, d 2.001, I 100

Structural model:
a b c (Å): 6.669 6.669 6.669
angles (deg): 87.76 87.76 87.76
Atoms (fractional coordinates):
Ce1 0.000 0.000 0.000
Nb1 0.203 0.409 0.557
Nb2 0.409 0.557 0.203
Nb3 0.443 0.797 0.591
Nb4 0.557 0.203 0.409
Nb5 0.591 0.443 0.797
Nb6 0.797 0.591 0.443
S1 0.131 0.754 0.390
S2 0.234 0.234 0.234
S3 0.246 0.610 0.869
S4 0.390 0.131 0.754
S5 0.610 0.869 0.246
S6 0.754 0.390 0.131
S7 0.766 0.766 0.766
S8 0.869 0.246 0.610



Fe3NiIr6: simulated PXRD pattern (λ = 1.5418 Å (Cu Kα)), based on a structure optimized by DFT (GGA-PBE).

Peak list (10 most intense, 2θ = 10–80°, in order of rising 2θ)
- 2θ = 11.4°, d 7.764, I 100
- 2θ = 19.8°, d 4.482, I 51
- 2θ = 30.5°, d 2.934, I 19
- 2θ = 34.7°, d 2.588, I 22
- 2θ = 41.8°, d 2.160, I 62
- 2θ = 42.0°, d 2.153, I 15
- 2θ = 43.5°, d 2.081, I 40
- 2θ = 46.8°, d 1.941, I 50
- 2θ = 48.2°, d 1.887, I 13
- 2θ = 59.4°, d 1.555, I 14

Structural model:
a b c (Å): 9.008 9.008 9.008
angles (deg): 119.05 119.05 119.05
Atoms (fractional coordinates):
Fe1 0.008 0.496 0.496
Fe2 0.496 0.008 0.496
Fe3 0.496 0.496 0.008
Ni1 0.277 0.277 0.277
Ir1 0.123 0.123 0.400
Ir2 0.123 0.400 0.123
Ir3 0.400 0.123 0.123
Ir4 0.597 0.845 0.845
Ir5 0.845 0.597 0.845
Ir6 0.845 0.845 0.597



LaZrAg: simulated PXRD pattern (λ = 1.5418 Å (Cu Kα)), based on a structure optimized by DFT (GGA-PBE).

Peak list (10 most intense, 2θ = 10–80°, in order of rising 2θ)
- 2θ = 27.1°, d 3.287, I 7
- 2θ = 31.8°, d 2.813, I 26
- 2θ = 34.2°, d 2.621, I 28
- 2θ = 34.7°, d 2.587, I 100
- 2θ = 47.4°, d 1.918, I 17
- 2θ = 52.2°, d 1.752, I 8
- 2θ = 58.5°, d 1.577, I 12
- 2θ = 61.6°, d 1.506, I 18
- 2θ = 62.5°, d 1.487, I 7
- 2θ = 63.9°, d 1.456, I 9

Structural model:
a b c (Å): 3.503 5.241 8.619
angles (deg): 90.00 101.72 90.00
Atoms (fractional coordinates):
La1 0.078 0.000 0.156
La2 0.922 0.500 0.844
Zr1 0.245 0.501 0.488
Zr2 0.755 0.001 0.512
Ag1 0.394 0.000 0.788
Ag2 0.606 0.500 0.212



Ac2NpMnSe5: simulated PXRD pattern (λ = 1.5418 Å (Cu Kα)), based on a structure optimized by DFT (GGA-PBE).

Peak list (10 most intense, 2θ = 10–80°, in order of rising 2θ)
- 2θ = 23.2°, d 3.831, I 31
- 2θ = 25.5°, d 3.489, I 22
- 2θ = 30.1°, d 2.966, I 100
- 2θ = 30.4°, d 2.942, I 39
- 2θ = 35.4°, d 2.536, I 54
- 2θ = 38.9°, d 2.315, I 12
- 2θ = 42.3°, d 2.138, I 36
- 2θ = 46.8°, d 1.943, I 14
- 2θ = 48.7°, d 1.868, I 13
- 2θ = 52.9°, d 1.730, I 17

Structural model:
a b c (Å): 9.321 9.321 12.678
angles (deg): 90.00 90.00 153.47
Atoms (fractional coordinates):
Ac1 0.115 0.885 0.500
Ac2 0.128 0.872 0.126
Ac3 0.872 0.128 0.626
Ac4 0.885 0.115 0.000
Np1 0.199 0.801 0.823
Np2 0.801 0.199 0.323
Mn1 0.445 0.555 0.256
Mn2 0.555 0.445 0.756
Se1 0.042 0.958 0.859
Se2 0.293 0.707 0.480
Se3 0.313 0.687 0.166
Se4 0.360 0.640 0.815
Se5 0.496 0.504 0.580
Se6 0.504 0.496 0.080
Se7 0.640 0.360 0.315
Se8 0.687 0.313 0.666
Se9 0.707 0.293 0.980
Se10 0.958 0.042 0.359



SbPbO3: simulated PXRD pattern (λ = 1.5418 Å (Cu Kα)), based on a structure optimized by DFT (GGA-PBE).

Peak list (10 most intense, 2θ = 10–80°, in order of rising 2θ)
- 2θ = 22.3°, d 3.991, I 20
- 2θ = 26.8°, d 3.332, I 100
- 2θ = 31.3°, d 2.854, I 58
- 2θ = 41.7°, d 2.167, I 31
- 2θ = 51.7°, d 1.769, I 38
- 2θ = 53.1°, d 1.726, I 31
- 2θ = 55.8°, d 1.648, I 16
- 2θ = 70.8°, d 1.330, I 11
- 2θ = 72.0°, d 1.312, I 13
- 2θ = 79.5°, d 1.206, I 11

Structural model:
a b c (Å): 5.708 5.708 13.529
angles (deg): 90.00 90.00 120.00
Atoms (fractional coordinates):
Sb1 0.000 0.000 0.250
Sb2 0.000 0.000 0.750
Sb3 0.333 0.667 0.250
Sb4 0.667 0.333 0.750
Pb1 0.333 0.667 0.587
Pb2 0.333 0.667 0.913
Pb3 0.667 0.333 0.087
Pb4 0.667 0.333 0.413
O1 0.007 0.298 0.166
O2 0.007 0.709 0.334
O3 0.291 0.298 0.334
O4 0.291 0.993 0.166
O5 0.298 0.007 0.666
O6 0.298 0.291 0.834
O7 0.702 0.709 0.166
O8 0.702 0.993 0.334
O9 0.709 0.007 0.834
O10 0.709 0.702 0.666
O11 0.993 0.291 0.666
O12 0.993 0.702 0.834